1.
# Ba2Al7Sn
Simulated powder XRD pattern, Cu Ka. Input: a DFT-relaxed cell (GGA-PBE, Alexandria).
Neutral-atom scattering factors, no anomalous dispersion.

Main lines, low angle first (2θ = 10–90°):
- d = 4.332 Å, 20.5°, I 52
- d = 2.930 Å, 30.5°, I 56
- d = 2.858 Å, 31.3°, I 100
- d = 2.347 Å, 38.4°, I 42
- d = 2.063 Å, 43.9°, I 15
- d = 2.029 Å, 44.7°, I 21
- d = 1.832 Å, 49.8°, I 28
- d = 1.633 Å, 56.3°, I 16
- d = 1.535 Å, 60.3°, I 17
- d = 1.435 Å, 65.0°, I 24

Cell: 4.693 4.693 11.254 Å, 90.00 90.00 90.00°
Space group P-4m2 (No. 115)
Symmetry-distinct sites (fractional):
Ba 0.000 0.500 0.245 [2 per cell]
Al 0.000 0.000 0.000 [1 per cell]
Al 0.000 0.500 0.636 [2 per cell]
Al 0.000 0.500 0.874 [2 per cell]
Al 0.500 0.500 0.000 [1 per cell]
Al 0.500 0.500 0.500 [1 per cell]
Sn 0.000 0.000 0.500 [1 per cell]

***

2.
# NaZrAsSe
Simulated powder XRD pattern, Cu Ka. Input: a DFT-relaxed cell (GGA-PBE, Alexandria).
Neutral-atom scattering factors, no anomalous dispersion.

Main lines, low angle first (2θ = 10–90°):
- d = 7.225 Å, 12.3°, I 56
- d = 3.233 Å, 27.6°, I 48
- d = 2.669 Å, 33.6°, I 100
- d = 2.285 Å, 39.4°, I 32
- d = 1.956 Å, 46.4°, I 43
- d = 1.888 Å, 48.2°, I 10
- d = 1.826 Å, 50.0°, I 25
- d = 1.577 Å, 58.5°, I 19
- d = 1.327 Å, 71.0°, I 15
- d = 1.228 Å, 77.8°, I 17

Cell: 3.9111 3.9111 21.6743 Å, 90.00 90.00 120.00°
Space group R3m (No. 160, hexagonal axes)
Symmetry-distinct sites (fractional):
Na 0.0000 0.0000 0.0000 [3 per cell]
Zr 0.0000 0.0000 0.1742 [3 per cell]
As 0.0000 0.0000 0.5744 [3 per cell]
Se 0.0000 0.0000 0.7629 [3 per cell]

***

3.
# LaTbNdHo
Simulated powder XRD pattern, Cu Ka. Input: a DFT-relaxed cell (GGA-PBE, Alexandria).
Neutral-atom scattering factors, no anomalous dispersion.

Main lines, low angle first (2θ = 10–90°):
- d = 2.967 Å, 30.1°, I 100
- d = 2.573 Å, 34.9°, I 34
- d = 2.563 Å, 35.0°, I 17
- d = 1.818 Å, 50.2°, I 24
- d = 1.815 Å, 50.3°, I 12
- d = 1.551 Å, 59.6°, I 29
- d = 1.547 Å, 59.8°, I 14
- d = 1.483 Å, 62.6°, I 12
- d = 1.180 Å, 81.6°, I 6
- d = 1.178 Å, 81.7°, I 12

Cell: 5.140 5.150 10.252 Å, 90.00 90.00 90.00°
Space group Imm2 (No. 44)
Symmetry-distinct sites (fractional):
La 0.000 0.000 0.000 [2 per cell]
Tb 0.000 0.000 0.500 [2 per cell]
Nd 0.000 0.500 0.750 [2 per cell]
Ho 0.000 0.500 0.250 [2 per cell]

***

4.
# TcH2
Simulated powder XRD pattern, Cu Ka. Input: a DFT-relaxed cell (GGA-PBE, Alexandria).
Neutral-atom scattering factors, no anomalous dispersion.

Main lines, low angle first (2θ = 10–90°):
- d = 5.910 Å, 15.0°, I 71
- d = 2.955 Å, 30.2°, I 42
- d = 2.478 Å, 36.2°, I 100
- d = 2.179 Å, 41.4°, I 82
- d = 2.045 Å, 44.3°, I 89
- d = 1.970 Å, 46.1°, I 23
- d = 1.446 Å, 64.4°, I 57
- d = 1.298 Å, 72.9°, I 19
- d = 1.180 Å, 81.6°, I 14
- d = 1.165 Å, 82.9°, I 24

Cell: 2.8901 2.8901 17.7291 Å, 90.00 90.00 120.00°
Space group R3m (No. 160, hexagonal axes)
Symmetry-distinct sites (fractional):
Tc 0.0000 0.0000 0.0000 [3 per cell]
Tc 0.0000 0.0000 0.2092 [3 per cell]
H 0.0000 0.0000 0.1062 [3 per cell]
H 0.0000 0.0000 0.3797 [3 per cell]
H 0.0000 0.0000 0.4940 [3 per cell]
H 0.0000 0.0000 0.6139 [3 per cell]